Record 1
# Sm3GaRu3
Theoretical PXRD pattern, λ = 1.5418 Å (Cu Kα). Input: a crystal structure in Alexandria, relaxed with GGA-PBE.
No peak broadening, texture or thermal motion is included.

```
data_Sm3GaRu3
_chemical_formula_sum 'Sm6 Ga2 Ru6'
_cell_length_a 5.7110
_cell_length_b 5.7110
_cell_length_c 13.5410
_cell_angle_alpha 90.00
_cell_angle_beta 90.00
_cell_angle_gamma 136.51
_space_group_name_H-M_alt 'P 1'
_space_group_IT_number 1
loop_
_space_group_symop_operation_xyz
'x,y,z'
loop_
_atom_site_label
_atom_site_type_symbol
_atom_site_fract_x
_atom_site_fract_y
_atom_site_fract_z
Sm1 Sm 0.0079 0.9921 0.7500
Sm2 Sm 0.2969 0.7031 0.6048
Sm3 Sm 0.2969 0.7031 0.8952
Sm4 Sm 0.7031 0.2969 0.1048
Sm5 Sm 0.7031 0.2969 0.3952
Sm6 Sm 0.9921 0.0079 0.2500
Ga1 Ga 0.0000 0.0000 0.0000
Ga2 Ga 0.0000 0.0000 0.5000
Ru1 Ru 0.2867 0.7133 0.2500
Ru2 Ru 0.4160 0.5840 0.0938
Ru3 Ru 0.4160 0.5840 0.4062
Ru4 Ru 0.5840 0.4160 0.5938
Ru5 Ru 0.5840 0.4160 0.9062
Ru6 Ru 0.7133 0.2867 0.7500
```

Largest 10 diffraction maxima, in order of rising 2θ, 2θ from 5° to 70°:
2theta	d_spacing	intensity
30.15	2.964	55
31.35	2.854	29
33.01	2.714	92
34.98	2.565	93
38.72	2.326	100
39.40	2.287	48
39.95	2.257	33
42.74	2.116	59
59.52	1.553	31
65.41	1.427	32

---

Record 2
# Li3H2Pd5
Theoretical PXRD pattern, λ = 1.5418 Å (Cu Kα). Input: a crystal structure in Alexandria, relaxed with GGA-PBE.
No peak broadening, texture or thermal motion is included.

```
data_Li3H2Pd5
_chemical_formula_sum 'Li6 H4 Pd10'
_cell_length_a 7.3425
_cell_length_b 7.3425
_cell_length_c 7.3425
_cell_angle_alpha 114.37
_cell_angle_beta 83.10
_cell_angle_gamma 135.03
_space_group_name_H-M_alt 'P 1'
_space_group_IT_number 1
loop_
_space_group_symop_operation_xyz
'x,y,z'
loop_
_atom_site_label
_atom_site_type_symbol
_atom_site_fract_x
_atom_site_fract_y
_atom_site_fract_z
Li1 Li 0.1363 0.7413 0.8776
Li2 Li 0.2500 0.2500 0.0000
Li3 Li 0.3637 0.2413 0.6050
Li4 Li 0.6363 0.7587 0.3950
Li5 Li 0.7500 0.7500 0.0000
Li6 Li 0.8637 0.2587 0.1224
H1 H 0.1387 0.0322 0.1709
H2 H 0.3613 0.5322 0.8935
H3 H 0.6387 0.4678 0.1065
H4 H 0.8613 0.9678 0.8291
Pd1 Pd 0.0063 0.2500 0.7563
Pd2 Pd 0.1136 0.2542 0.3678
Pd3 Pd 0.2500 0.7500 0.5000
Pd4 Pd 0.3864 0.7542 0.1406
Pd5 Pd 0.4937 0.2500 0.2437
Pd6 Pd 0.5063 0.7500 0.7563
Pd7 Pd 0.6136 0.2458 0.8594
Pd8 Pd 0.7500 0.2500 0.5000
Pd9 Pd 0.8864 0.7458 0.6322
Pd10 Pd 0.9937 0.7500 0.2437
```

Largest 10 diffraction maxima, in order of rising 2θ, 2θ from 5° to 70°:
2theta	d_spacing	intensity
13.74	6.446	41
25.29	3.522	89
26.79	3.328	15
27.68	3.223	15
39.27	2.294	100
39.87	2.261	92
41.06	2.198	23
45.60	1.989	33
46.23	1.964	61
66.95	1.398	39

---

Record 3
# Zr8Cu
Theoretical PXRD pattern, λ = 1.5418 Å (Cu Kα). Input: a crystal structure in Alexandria, relaxed with GGA-PBE.
No peak broadening, texture or thermal motion is included.

```
data_Zr8Cu
_chemical_formula_sum 'Zr8 Cu1'
_cell_length_a 7.1090
_cell_length_b 7.1090
_cell_length_c 7.1090
_cell_angle_alpha 95.30
_cell_angle_beta 95.30
_cell_angle_gamma 144.60
_space_group_name_H-M_alt 'P 1'
_space_group_IT_number 1
loop_
_space_group_symop_operation_xyz
'x,y,z'
loop_
_atom_site_label
_atom_site_type_symbol
_atom_site_fract_x
_atom_site_fract_y
_atom_site_fract_z
Zr1 Zr 0.0000 0.3308 0.3308
Zr2 Zr 0.0000 0.6692 0.6692
Zr3 Zr 0.3308 0.0000 0.3308
Zr4 Zr 0.3358 0.3358 0.6715
Zr5 Zr 0.3358 0.6642 0.0000
Zr6 Zr 0.6642 0.3358 0.0000
Zr7 Zr 0.6642 0.6642 0.3285
Zr8 Zr 0.6692 0.0000 0.6692
Cu1 Cu 0.0000 0.0000 0.0000
```

Largest 6 diffraction maxima, in order of rising 2θ, 2θ from 5° to 70°:
2theta	d_spacing	intensity
34.94	2.568	100
39.94	2.257	34
41.79	2.162	15
57.76	1.596	11
59.18	1.561	21
69.31	1.356	25

---

Record 4
# Pu2Sn3Pb3
Theoretical PXRD pattern, λ = 1.5418 Å (Cu Kα). Input: a crystal structure in Alexandria, relaxed with GGA-PBE.
No peak broadening, texture or thermal motion is included.

```
data_Pu2Sn3Pb3
_chemical_formula_sum 'Pu2 Sn3 Pb3'
_cell_length_a 4.7689
_cell_length_b 4.7775
_cell_length_c 9.5313
_cell_angle_alpha 90.00
_cell_angle_beta 90.00
_cell_angle_gamma 90.00
_space_group_name_H-M_alt 'P 1'
_space_group_IT_number 1
loop_
_space_group_symop_operation_xyz
'x,y,z'
loop_
_atom_site_label
_atom_site_type_symbol
_atom_site_fract_x
_atom_site_fract_y
_atom_site_fract_z
Pu1 Pu 0.0000 0.0000 0.2441
Pu2 Pu 0.0000 0.0000 0.7559
Sn1 Sn 0.0000 0.5000 0.0000
Sn2 Sn 0.5000 0.0000 0.0000
Sn3 Sn 0.5000 0.0000 0.5000
Pb1 Pb 0.0000 0.5000 0.5000
Pb2 Pb 0.5000 0.5000 0.2473
Pb3 Pb 0.5000 0.5000 0.7527
```

Largest 10 diffraction maxima, in order of rising 2θ, 2θ from 5° to 70°:
2theta	d_spacing	intensity
18.62	4.766	5
26.41	3.375	5
32.51	2.754	100
37.71	2.385	51
42.36	2.134	3
46.66	1.947	2
54.39	1.687	36
64.79	1.439	29
64.87	1.437	14
68.08	1.377	12

---

Record 5
# AgOsPd3
Theoretical PXRD pattern, λ = 1.5418 Å (Cu Kα). Input: a crystal structure in Alexandria, relaxed with GGA-PBE.
No peak broadening, texture or thermal motion is included.

```
data_AgOsPd3
_chemical_formula_sum 'Ag1 Os1 Pd3'
_cell_length_a 4.8161
_cell_length_b 4.8161
_cell_length_c 4.8161
_cell_angle_alpha 90.00
_cell_angle_beta 90.00
_cell_angle_gamma 90.00
_space_group_name_H-M_alt 'P 1'
_space_group_IT_number 1
loop_
_space_group_symop_operation_xyz
'x,y,z'
loop_
_atom_site_label
_atom_site_type_symbol
_atom_site_fract_x
_atom_site_fract_y
_atom_site_fract_z
Ag1 Ag 0.0000 0.0000 0.0000
Os1 Os 0.5000 0.5000 0.5000
Pd1 Pd 0.0000 0.5000 0.5000
Pd2 Pd 0.5000 0.0000 0.5000
Pd3 Pd 0.5000 0.5000 0.0000
```

Largest 10 diffraction maxima, in order of rising 2θ, 2θ from 5° to 70°:
2theta	d_spacing	intensity
18.42	4.816	50
26.17	3.405	47
32.19	2.781	33
37.34	2.408	100
41.95	2.154	25
46.17	1.966	20
53.84	1.703	69
57.40	1.605	13
64.13	1.452	12
67.35	1.390	23